Simulated powder X-ray diffraction pattern of Sm2IrO6 for Cu Kα X-rays, from a crystal structure in Alexandria, relaxed with GGA-PBE.
Neutral-atom scattering factors, no anomalous dispersion.

Cell and atoms:
Lattice parameters (Å, degrees): 5.0845 5.0845 10.2327 90.00 90.00 90.00
Space group P4_2/mnm (No. 136)
Symmetry-distinct sites (fractional):
Sm 0.0000 0.0000 0.1689 x4
Ir 0.0000 0.0000 0.5000 x2
O 0.1829 0.1829 0.3572 x8
O 0.2293 0.2293 0.0000 x4

Largest 8 diffraction maxima, by angle, 10 to 80 degrees two-theta:
two_theta, I (rel.)
24.76, 100
31.59, 90
35.31, 27
48.09, 69
50.79, 17
57.30, 17
60.04, 17
61.05, 19